For Sn2Pd5S, the GGA-PBE geometry in Alexandria gives the computed X-ray diffraction stick pattern in this record (Cu Kα (λ = 1.5418 Å)).

Atomic structure:
Lattice parameters (Å, degrees): 7.737 7.737 12.293 90.00 90.00 152.24
Atoms (fractional coordinates):
Sn  0.127  0.873  0.587
Sn  0.127  0.873  0.913
Sn  0.873  0.127  0.087
Sn  0.873  0.127  0.413
Pd  0.045  0.955  0.107
Pd  0.045  0.955  0.393
Pd  0.241  0.759  0.085
Pd  0.241  0.759  0.415
Pd  0.251  0.749  0.750
Pd  0.749  0.251  0.250
Pd  0.759  0.241  0.585
Pd  0.759  0.241  0.915
Pd  0.955  0.045  0.607
Pd  0.955  0.045  0.893
S  0.145  0.855  0.250
S  0.855  0.145  0.750

Most intense lines, 2θ from 10° to 90°, sorted by position:
d_spacing	intensity
7.511	31.9
3.603	91.3
3.073	14.6
2.411	39.2
2.338	23.0
2.136	31.0
2.049	26.3
2.029	100.0
1.856	24.5
1.401	15.9
1.376	14.4
1.102	14.4

=====

For La3PrGe4, the GGA-PBE geometry in Alexandria gives the computed X-ray diffraction stick pattern in this record (Cu Kα (λ = 1.5418 Å)).

Atomic structure:
Lattice parameters (Å, degrees): 9.278 9.278 9.278 153.76 137.96 50.24
Atoms (fractional coordinates):
La  0.000  0.000  0.000
La  0.302  0.802  0.500
La  0.698  0.198  0.500
Pr  0.500  0.500  0.000
Ge  0.059  0.370  0.688
Ge  0.318  0.630  0.688
Ge  0.682  0.370  0.312
Ge  0.941  0.630  0.312

Most intense lines, 2θ from 10° to 90°, sorted by position:
d_spacing	intensity
3.277	100.0
3.000	18.8
2.800	12.7
2.715	25.1
2.627	21.9
2.608	34.0
2.367	26.0
2.106	21.1
2.062	12.4
1.911	19.7
1.639	16.4
1.434	23.1

=====

For Ga5CuTe8, the GGA-PBE geometry in Alexandria gives the computed X-ray diffraction stick pattern in this record (Cu Kα (λ = 1.5418 Å)).

Atomic structure:
Lattice parameters (Å, degrees): 6.001 6.001 12.135 90.00 90.00 90.00
Atoms (fractional coordinates):
Ga  0.000  0.000  0.000
Ga  0.000  0.500  0.257
Ga  0.000  0.500  0.743
Ga  0.500  0.000  0.257
Ga  0.500  0.000  0.743
Cu  0.500  0.500  0.500
Te  0.240  0.240  0.613
Te  0.240  0.760  0.387
Te  0.269  0.269  0.116
Te  0.269  0.731  0.884
Te  0.731  0.269  0.884
Te  0.731  0.731  0.116
Te  0.760  0.240  0.387
Te  0.760  0.760  0.613

Most intense lines, 2θ from 10° to 90°, sorted by position:
d_spacing	intensity
3.477	100.0
3.000	8.5
2.133	42.6
2.122	21.6
1.826	13.9
1.811	29.0
1.500	6.6
1.384	10.4
1.377	5.5
1.234	5.7
1.227	12.4
1.155	5.8

=====

For ThU2WC4, the GGA-PBE geometry in Alexandria gives the computed X-ray diffraction stick pattern in this record (Cu Kα (λ = 1.5418 Å)).

Atomic structure:
Lattice parameters (Å, degrees): 6.259 6.259 11.660 90.00 90.00 147.09
Atoms (fractional coordinates):
Th  0.115  0.885  0.750
Th  0.885  0.115  0.250
U  0.370  0.630  0.546
U  0.370  0.630  0.954
U  0.630  0.370  0.046
U  0.630  0.370  0.454
W  0.146  0.854  0.250
W  0.854  0.146  0.750
C  0.000  0.000  0.000
C  0.000  0.000  0.500
C  0.263  0.737  0.118
C  0.263  0.737  0.382
C  0.451  0.549  0.750
C  0.549  0.451  0.250
C  0.737  0.263  0.618
C  0.737  0.263  0.882

Most intense lines, 2θ from 10° to 90°, sorted by position:
d_spacing	intensity
3.263	39.4
3.002	61.4
2.938	100.0
2.914	35.7
2.416	80.5
2.091	22.9
1.882	22.2
1.772	30.2
1.527	17.7
1.514	14.5
1.493	16.7
1.277	14.7

=====

For PuZnAgSb, the GGA-PBE geometry in Alexandria gives the computed X-ray diffraction stick pattern in this record (Cu Kα (λ = 1.5418 Å)).

Atomic structure:
Lattice parameters (Å, degrees): 5.035 5.035 5.035 60.00 60.00 60.00
Atoms (fractional coordinates):
Pu  0.000  0.000  0.000
Zn  0.250  0.250  0.250
Ag  0.500  0.500  0.500
Sb  0.750  0.750  0.750

Most intense lines, 2θ from 10° to 90°, sorted by position:
d_spacing	intensity
4.111	13.2
3.560	9.9
2.518	100.0
2.147	7.7
2.056	3.1
1.780	17.6
1.634	3.5
1.592	4.3
1.453	35.8
1.259	11.1
1.204	2.8
1.126	16.0

=====

For TbDyPa, the GGA-PBE geometry in Alexandria gives the computed X-ray diffraction stick pattern in this record (Cu Kα (λ = 1.5418 Å)).

Atomic structure:
Lattice parameters (Å, degrees): 3.427 3.427 8.546 90.00 90.00 120.00
Atoms (fractional coordinates):
Tb  0.000  0.000  0.000
Dy  0.667  0.333  0.361
Pa  0.333  0.667  0.680

Most intense lines, 2θ from 10° to 90°, sorted by position:
d_spacing	intensity
8.546	11.7
2.849	33.3
2.804	100.0
2.438	70.0
1.734	23.0
1.713	23.7
1.481	15.2
1.468	27.5
1.462	14.2
1.402	12.7
1.112	12.3
1.095	10.0

=====

For K5Mo2H12, the GGA-PBE geometry in Alexandria gives the computed X-ray diffraction stick pattern in this record (Cu Kα (λ = 1.5418 Å)).

Atomic structure:
Lattice parameters (Å, degrees): 7.057 7.057 7.057 123.39 103.70 102.28
Atoms (fractional coordinates):
K  0.000  0.000  0.000
K  0.000  0.280  0.721
K  0.000  0.720  0.279
K  0.441  0.720  0.721
K  0.559  0.280  0.279
Mo  0.500  0.250  0.750
Mo  0.500  0.750  0.250
H  0.286  0.216  0.502
H  0.286  0.784  0.071
H  0.290  0.075  0.785
H  0.290  0.504  0.215
H  0.398  0.500  0.898
H  0.400  0.900  0.500
H  0.600  0.100  0.500
H  0.602  0.500  0.102
H  0.710  0.496  0.785
H  0.710  0.925  0.215
H  0.714  0.216  0.929
H  0.714  0.784  0.498

Most intense lines, 2θ from 10° to 90°, sorted by position:
d_spacing	intensity
6.213	98.2
3.106	100.0
2.946	72.7
2.669	51.5
2.654	43.4
2.214	17.9
2.180	17.1
2.145	23.5
2.130	23.1
1.761	19.9
1.688	16.8
1.473	18.9